Structure and computed powder diffractogram of Cu4Ag5 (a cell relaxed with GGA-PBE; copper Kα).

Structural model:
Lattice parameters (Å, degrees): 14.263 2.835 8.191 90.00 123.69 90.00
Space group C2/m (No. 12)
Inequivalent atoms, fractional coordinates:
Cu1 0.171 0.000 0.014 x4
Cu2 0.222 0.500 0.330 x4
Ag1 0.000 0.500 0.000 x2
Ag2 0.066 0.000 0.345 x4
Ag3 0.119 0.500 0.690 x4

Principal peaks in the range 5° ≤ 2θ ≤ 70°, in order of falling intensity:
two_theta  I (rel.)  h k l
39.50  100  3 1 -2
45.44  64  3 1 1
39.79  48  6 0 -1
39.67  46  0 0 3
47.31  28  6 0 -4
67.76  18  9 1 -3